The following is a theoretical powder XRD pattern of Er2GaAu. It was derived from a crystal structure in Alexandria, relaxed with GGA-PBE, using a wavelength of 1.5418 Å.
Lines closer than 0.1° are merged.

Atomic structure:
abc: 5.8517 4.4384 7.6856
angles: 90.00 109.81 90.00
Space group P2_1/m (No. 11)
Inequivalent atoms, fractional coordinates:
Er 0.2107 0.2500 0.4331 [2 per cell]
Er 0.2208 0.2500 0.9201 [2 per cell]
Ga 0.3240 0.7500 0.2068 [2 per cell]
Au 0.3458 0.7500 0.7077 [2 per cell]

Principal peaks in the range 2θ from 10° to 90°, sorted by position:
Position (°2θ)  I_rel
31.8  87
31.9  100
38.5  55
39.4  63
39.7  58
40.7  59

---

The following is a theoretical powder XRD pattern of Th2Al2Fe2C. It was derived from a crystal structure in Alexandria, relaxed with GGA-PBE, using a wavelength of 1.5418 Å.
Lines closer than 0.1° are merged.

Atomic structure:
abc: 10.9014 4.1781 7.1965
angles: 90.00 129.74 90.00
Space group C2/m (No. 12)
Inequivalent atoms, fractional coordinates:
Th 0.0515 0.0000 0.3193 [4 per cell]
Al 0.1674 0.5000 0.1080 [4 per cell]
Fe 0.1925 0.5000 0.7952 [4 per cell]
C 0.0000 0.5000 0.5000 [2 per cell]

Principal peaks in the range 2θ from 10° to 90°, sorted by position:
Position (°2θ)  I_rel
23.8  76
24.8  36
32.5  50
34.4  32
34.8  100
38.8  49

---

The following is a theoretical powder XRD pattern of InCuAg. It was derived from a crystal structure in Alexandria, relaxed with GGA-PBE, using a wavelength of 1.5418 Å.
Lines closer than 0.1° are merged.

Atomic structure:
abc: 7.6737 9.5971 13.2095
angles: 90.00 90.00 90.00
Space group Fddd (No. 70, origin choice 2)
Inequivalent atoms, fractional coordinates:
In 0.1250 0.1250 0.3085 [16 per cell]
Cu 0.0330 0.3750 0.3750 [16 per cell]
Ag 0.0000 0.0000 0.5000 [16 per cell]

Principal peaks in the range 2θ from 10° to 90°, sorted by position:
Position (°2θ)  I_rel
26.9  56
31.0  93
32.8  75
37.2  100
41.9  99
46.8  55

---

The following is a theoretical powder XRD pattern of Pm6InAg2. It was derived from a crystal structure in Alexandria, relaxed with GGA-PBE, using a wavelength of 1.5418 Å.
Lines closer than 0.1° are merged.

Atomic structure:
abc: 10.1757 10.2157 10.4503
angles: 90.00 90.00 90.00
Space group Immm (No. 71)
Inequivalent atoms, fractional coordinates:
Pm 0.0000 0.2222 0.1772 [8 per cell]
Pm 0.1822 0.2298 0.5000 [8 per cell]
Pm 0.2026 0.5000 0.2548 [8 per cell]
In 0.0000 0.5000 0.0000 [2 per cell]
In 0.0000 0.5000 0.5000 [2 per cell]
Ag 0.0000 0.0000 0.3684 [4 per cell]
Ag 0.1414 0.0000 0.0000 [4 per cell]

Principal peaks in the range 2θ from 10° to 90°, sorted by position:
Position (°2θ)  I_rel
30.1  100
32.3  56
32.7  48
32.8  65
35.1  44
55.3  36

---

The following is a theoretical powder XRD pattern of Tl3In2O6. It was derived from a crystal structure in Alexandria, relaxed with GGA-PBE, using a wavelength of 1.5418 Å.
Lines closer than 0.1° are merged.

Atomic structure:
abc: 3.4385 3.4385 53.3592
angles: 90.00 90.00 120.00
Space group R-3m (No. 166, hexagonal axes)
Inequivalent atoms, fractional coordinates:
Tl 0.0000 0.0000 0.0000 [3 per cell]
Tl 0.0000 0.0000 0.2662 [6 per cell]
In 0.0000 0.0000 0.4571 [6 per cell]
O 0.0000 0.0000 0.0958 [6 per cell]
O 0.0000 0.0000 0.1958 [6 per cell]
O 0.0000 0.0000 0.3808 [6 per cell]

Principal peaks in the range 2θ from 10° to 90°, sorted by position:
Position (°2θ)  I_rel
25.0  59
30.8  76
32.3  39
35.4  100
53.3  35
59.7  33

---

The following is a theoretical powder XRD pattern of NiPtS2N. It was derived from a crystal structure in Alexandria, relaxed with GGA-PBE, using a wavelength of 1.5418 Å.
Lines closer than 0.1° are merged.

Atomic structure:
abc: 4.6594 4.6594 3.3425
angles: 90.00 90.00 90.00
Space group P4/mmm (No. 123)
Inequivalent atoms, fractional coordinates:
Ni 0.0000 0.0000 0.0000 [1 per cell]
Pt 0.5000 0.5000 0.5000 [1 per cell]
S 0.0000 0.5000 0.0000 [2 per cell]
N 0.0000 0.0000 0.5000 [1 per cell]

Principal peaks in the range 2θ from 10° to 90°, sorted by position:
Position (°2θ)  I_rel
19.0  38
27.1  58
33.0  100
38.4  47
38.6  62
51.7  57

---

The following is a theoretical powder XRD pattern of Zn2CrC. It was derived from a crystal structure in Alexandria, relaxed with GGA-PBE, using a wavelength of 1.5418 Å.
Lines closer than 0.1° are merged.

Atomic structure:
abc: 9.4153 2.8227 8.5177
angles: 90.00 118.53 90.00
Space group Cm (No. 8)
Inequivalent atoms, fractional coordinates:
Zn 0.0000 0.0000 0.0000 [2 per cell]
Zn 0.0312 0.5000 0.7420 [2 per cell]
Zn 0.2621 0.0000 0.7556 [2 per cell]
Zn 0.3241 0.0000 0.1348 [2 per cell]
Cr 0.1661 0.5000 0.2924 [2 per cell]
Cr 0.4945 0.5000 0.4377 [2 per cell]
C 0.2105 0.0000 0.4789 [2 per cell]
C 0.3407 0.0000 0.4422 [2 per cell]

Principal peaks in the range 2θ from 10° to 90°, sorted by position:
Position (°2θ)  I_rel
36.0  31
38.3  100
39.4  28
41.3  46
43.3  44
46.0  42

---

The following is a theoretical powder XRD pattern of LaYTm5. It was derived from a crystal structure in Alexandria, relaxed with GGA-PBE, using a wavelength of 1.5418 Å.
Lines closer than 0.1° are merged.

Atomic structure:
abc: 7.0556 11.4717 11.3236
angles: 90.00 90.00 90.00
Space group Imma (No. 74)
Inequivalent atoms, fractional coordinates:
La 0.2500 0.2500 0.2500 [4 per cell]
Y 0.0000 0.2500 0.5452 [4 per cell]
Tm 0.0000 0.0326 0.7508 [8 per cell]
Tm 0.0000 0.2500 0.9575 [4 per cell]
Tm 0.2497 0.0000 0.0000 [8 per cell]

Principal peaks in the range 2θ from 10° to 90°, sorted by position:
Position (°2θ)  I_rel
31.2  28
31.6  26
33.4  14
33.8  100
45.0  15
57.2  16

---

The following is a theoretical powder XRD pattern of RbLiLaFe. It was derived from a crystal structure in Alexandria, relaxed with GGA-PBE, using a wavelength of 1.5418 Å.
Lines closer than 0.1° are merged.

Atomic structure:
abc: 3.4221 4.5430 9.1131
angles: 104.37 100.45 90.18
Space group P1 (No. 1)
Inequivalent atoms, fractional coordinates:
Rb 0.0000 0.0000 0.0000 [1 per cell]
Li 0.3420 0.3306 0.6622 [1 per cell]
La 0.2950 0.7006 0.4008 [1 per cell]
Fe 0.7666 0.2017 0.4035 [1 per cell]

Principal peaks in the range 2θ from 10° to 90°, sorted by position:
Position (°2θ)  I_rel
10.2  100
20.5  65
24.9  38
30.9  24
34.4  69
39.0  24

---

The following is a theoretical powder XRD pattern of Tb10YbSe16. It was derived from a crystal structure in Alexandria, relaxed with GGA-PBE, using a wavelength of 1.5418 Å.
Lines closer than 0.1° are merged.

Atomic structure:
abc: 8.7357 8.7357 8.7222
angles: 90.00 90.00 90.00
Space group P-4 (No. 81)
Inequivalent atoms, fractional coordinates:
Tb 0.0000 0.5000 0.2488 [2 per cell]
Tb 0.1325 0.2595 0.6214 [4 per cell]
Tb 0.2512 0.6251 0.8649 [4 per cell]
Yb 0.0000 0.0000 0.0000 [1 per cell]
Se 0.0695 0.1793 0.3058 [4 per cell]
Se 0.0707 0.3230 0.9441 [4 per cell]
Se 0.1750 0.5779 0.5468 [4 per cell]
Se 0.3165 0.5732 0.1844 [4 per cell]

Principal peaks in the range 2θ from 10° to 90°, sorted by position:
Position (°2θ)  I_rel
25.0  28
32.4  100
38.6  63
46.5  24
53.5  20
65.9  25

---

The following is a theoretical powder XRD pattern of Pu3ThAu4. It was derived from a crystal structure in Alexandria, relaxed with GGA-PBE, using a wavelength of 1.5418 Å.
Lines closer than 0.1° are merged.

Atomic structure:
abc: 3.3286 5.4170 10.8181
angles: 90.00 90.00 90.00
Space group Pmmm (No. 47)
Inequivalent atoms, fractional coordinates:
Pu 0.0000 0.0000 0.0000 [1 per cell]
Pu 0.0000 0.5000 0.2459 [2 per cell]
Th 0.0000 0.0000 0.5000 [1 per cell]
Au 0.5000 0.0000 0.2502 [2 per cell]
Au 0.5000 0.5000 0.0000 [1 per cell]
Au 0.5000 0.5000 0.5000 [1 per cell]

Principal peaks in the range 2θ from 10° to 90°, sorted by position:
Position (°2θ)  I_rel
33.1  61
35.7  100
47.5  23
60.9  44
65.9  17
75.7  12

---

The following is a theoretical powder XRD pattern of CdHg3Pd7. It was derived from a crystal structure in Alexandria, relaxed with GGA-PBE, using a wavelength of 1.5418 Å.
Lines closer than 0.1° are merged.

Atomic structure:
abc: 9.2628 9.5129 5.2717
angles: 90.00 114.99 90.00
Space group C2/m (No. 12)
Inequivalent atoms, fractional coordinates:
Cd 0.0000 0.0000 0.0000 [2 per cell]
Hg 0.0000 0.2844 0.5000 [4 per cell]
Hg 0.0000 0.5000 0.0000 [2 per cell]
Pd 0.0000 0.0000 0.5000 [2 per cell]
Pd 0.1724 0.2536 0.1747 [8 per cell]
Pd 0.2146 0.5000 0.5393 [4 per cell]

Principal peaks in the range 2θ from 10° to 90°, sorted by position:
Position (°2θ)  I_rel
28.6  36
34.5  52
37.8  56
38.9  100
43.5  35
52.1  24

---

The following is a theoretical powder XRD pattern of Ce2Cd2Ge4Pd. It was derived from a crystal structure in Alexandria, relaxed with GGA-PBE, using a wavelength of 1.5418 Å.
Lines closer than 0.1° are merged.

Atomic structure:
abc: 6.5905 6.5905 8.9404
angles: 90.00 90.00 90.00
Space group I4/mmm (No. 139)
Inequivalent atoms, fractional coordinates:
Ce 0.0000 0.5000 0.2500 [4 per cell]
Cd 0.0000 0.0000 0.2045 [4 per cell]
Ge 0.2303 0.2303 0.0000 [8 per cell]
Pd 0.0000 0.0000 0.5000 [2 per cell]

Principal peaks in the range 2θ from 10° to 90°, sorted by position:
Position (°2θ)  I_rel
27.1  22
33.8  100
38.6  65
43.2  24
57.1  30
66.8  24